No. 1
The following is a computed X-ray diffraction stick pattern of Ac2Th4Ge3N2. It was derived from a DFT-relaxed cell (PBE, Alexandria), using CuKα.
Peak positions follow from Bragg's law for the DFT cell and can differ from measured ones.

Atomic structure:
```
Ac2Th4Ge3N2
1.0
-2.405 2.405 12.720
2.405 -2.405 12.720
2.405 2.405 -12.720
Ac Th Ge N
2 4 3 2
Cartesian
0.000 0.000 5.050 Ac
0.000 0.000 20.390 Ac
2.405 0.000 1.977 Th
2.405 0.000 10.743 Th
0.000 2.405 1.977 Th
0.000 2.405 10.743 Th
0.000 0.000 8.465 Ge
0.000 0.000 12.720 Ge
0.000 0.000 16.975 Ge
0.000 0.000 2.415 N
0.000 0.000 23.025 N
```

Largest 10 diffraction maxima, sorted by position, 5° ≤ 2θ ≤ 70°:
| d/Å | 2θ/deg | intensity |
| --- | --- | --- |
| 4.184 | 21.2 | 18 |
| 3.286 | 27.1 | 81 |
| 3.180 | 28.1 | 28 |
| 2.900 | 30.8 | 21 |
| 2.653 | 33.8 | 100 |
| 2.405 | 37.4 | 63 |
| 1.918 | 47.4 | 27 |
| 1.701 | 53.9 | 22 |
| 1.510 | 61.4 | 17 |
| 1.432 | 65.2 | 31 |

No. 2
The following is a computed X-ray diffraction stick pattern of NaAc6Ge5. It was derived from a DFT-relaxed cell (PBE, Alexandria), using CuKα.
Peak positions follow from Bragg's law for the DFT cell and can differ from measured ones.

Atomic structure:
```
NaAc6Ge5
1.0
4.113 -7.085 0.000
4.113 7.085 0.000
-2.697 0.000 7.326
Na Ac Ge
1 6 5
Cartesian
0.000 0.000 0.000 Na
1.516 2.579 1.964 Ac
0.268 0.000 5.437 Ac
1.516 -2.579 1.964 Ac
4.014 2.579 5.362 Ac
5.261 0.000 1.889 Ac
4.014 -2.579 5.362 Ac
2.765 4.956 3.663 Ge
4.113 2.417 0.000 Ge
2.765 0.000 3.663 Ge
4.113 -2.417 0.000 Ge
2.765 -4.956 3.663 Ge
```

Largest 10 diffraction maxima, sorted by position, 5° ≤ 2θ ≤ 70°:
| d/Å | 2θ/deg | intensity |
| --- | --- | --- |
| 3.860 | 23.0 | 13 |
| 3.834 | 23.2 | 27 |
| 3.663 | 24.3 | 12 |
| 3.287 | 27.1 | 100 |
| 2.371 | 37.9 | 25 |
| 2.362 | 38.1 | 12 |
| 2.291 | 39.3 | 12 |
| 2.278 | 39.6 | 24 |
| 1.917 | 47.4 | 13 |
| 1.446 | 64.4 | 10 |

What did the second record say?
The following is a computed X-ray diffraction stick pattern of NaAc6Ge5. It was derived from a DFT-relaxed cell (PBE, Alexandria), using CuKα.
Peak positions follow from Bragg's law for the DFT cell and can differ from measured ones.

Atomic structure:
```
NaAc6Ge5
1.0
4.113 -7.085 0.000
4.113 7.085 0.000
-2.697 0.000 7.326
Na Ac Ge
1 6 5
Cartesian
0.000 0.000 0.000 Na
1.516 2.579 1.964 Ac
0.268 0.000 5.437 Ac
1.516 -2.579 1.964 Ac
4.014 2.579 5.362 Ac
5.261 0.000 1.889 Ac
4.014 -2.579 5.362 Ac
2.765 4.956 3.663 Ge
4.113 2.417 0.000 Ge
2.765 0.000 3.663 Ge
4.113 -2.417 0.000 Ge
2.765 -4.956 3.663 Ge
```

Largest 10 diffraction maxima, sorted by position, 5° ≤ 2θ ≤ 70°:
| d/Å | 2θ/deg | intensity |
| --- | --- | --- |
| 3.860 | 23.0 | 13 |
| 3.834 | 23.2 | 27 |
| 3.663 | 24.3 | 12 |
| 3.287 | 27.1 | 100 |
| 2.371 | 37.9 | 25 |
| 2.362 | 38.1 | 12 |
| 2.291 | 39.3 | 12 |
| 2.278 | 39.6 | 24 |
| 1.917 | 47.4 | 13 |
| 1.446 | 64.4 | 10 |